(1)
Theoretical X-ray powder pattern of PaMo2O6 for Cu Kα, from a structure optimized by DFT (GGA+U).

Main lines, most intense first (10 to 90 degrees two-theta):
| two_theta | Rel. int. | h k l |
| --- | --- | --- |
| 32.57 | 1000 | 3 0 0 |
| 50.08 | 916 | 0 3 2 |
| 21.21 | 897 | 1 0 1 |
| 26.19 | 783 | 1 1 1 |
| 34.16 | 608 | 2 1 1 |
| 28.38 | 604 | 0 2 1 |
| 18.63 | 440 | 1 1 0 |
| 58.12 | 335 | 3 3 0 |
| 51.85 | 310 | 3 2 1 |
| 18.24 | 217 | 0 0 1 |
| 80.22 | 211 | 6 0 2 |
| 42.26 | 203 | 2 2 1 |

a = 9.5236 Å, b = 9.5236 Å, c = 4.8634 Å
α = 90.00°, β = 90.00°, γ = 120.00°
Space group P-3m1 (No. 164)
Asymmetric unit:
Pa1 0.0000 0.0000 0.0000 (multiplicity 1)
Pa2 0.3333 0.6667 0.5158 (multiplicity 2)
Mo1 0.0000 0.3484 0.0000 (multiplicity 6)
O1 0.1125 0.5563 0.2459 (multiplicity 6)
O2 0.1189 0.2377 0.1958 (multiplicity 6)
O3 0.2251 0.4502 0.7703 (multiplicity 6)

=====

(2)
Theoretical X-ray powder pattern of PaMo4O12 for Cu Kα, from a structure optimized by DFT (GGA+U).

Main lines, most intense first (10 to 90 degrees two-theta):
| two_theta | Rel. int. | h k l |
| --- | --- | --- |
| 32.91 | 1000 | 2 0 2 |
| 16.28 | 971 | 1 0 1 |
| 15.77 | 567 | 1 1 0 |
| 31.84 | 497 | 2 2 0 |
| 27.79 | 464 | 2 1 1 |
| 57.42 | 459 | 4 2 2 |
| 45.66 | 368 | 4 0 0 |
| 59.43 | 357 | 2 2 4 |
| 48.77 | 245 | 0 0 4 |
| 44.42 | 237 | 2 1 3 |
| 22.37 | 234 | 2 0 0 |
| 28.69 | 219 | 1 1 2 |

a = 7.948 Å, b = 7.948 Å, c = 7.471 Å
α = 90.00°, β = 90.00°, γ = 90.00°
Space group I4/mmm (No. 139)
Asymmetric unit:
Pa1 0.000 0.000 0.000 (multiplicity 2)
Mo1 0.250 0.250 0.250 (multiplicity 8)
O1 0.000 0.232 0.185 (multiplicity 16)
O2 0.206 0.206 0.500 (multiplicity 8)

=====

What did the second record say?
Theoretical X-ray powder pattern of PaMo4O12 for Cu Kα, from a structure optimized by DFT (GGA+U).

Main lines, most intense first (10 to 90 degrees two-theta):
| two_theta | Rel. int. | h k l |
| --- | --- | --- |
| 32.91 | 1000 | 2 0 2 |
| 16.28 | 971 | 1 0 1 |
| 15.77 | 567 | 1 1 0 |
| 31.84 | 497 | 2 2 0 |
| 27.79 | 464 | 2 1 1 |
| 57.42 | 459 | 4 2 2 |
| 45.66 | 368 | 4 0 0 |
| 59.43 | 357 | 2 2 4 |
| 48.77 | 245 | 0 0 4 |
| 44.42 | 237 | 2 1 3 |
| 22.37 | 234 | 2 0 0 |
| 28.69 | 219 | 1 1 2 |

a = 7.948 Å, b = 7.948 Å, c = 7.471 Å
α = 90.00°, β = 90.00°, γ = 90.00°
Space group I4/mmm (No. 139)
Asymmetric unit:
Pa1 0.000 0.000 0.000 (multiplicity 2)
Mo1 0.250 0.250 0.250 (multiplicity 8)
O1 0.000 0.232 0.185 (multiplicity 16)
O2 0.206 0.206 0.500 (multiplicity 8)